# 1
This entry pairs a crystal structure of EuNi5As3 with its calculated XRD peak list. Radiation: Cu Kα X-rays. Structure: a GGA-PBE-relaxed structure.
No peak broadening, texture or thermal motion is included.

The 10 most intense peaks (10 to 90 degrees two-theta), most intense first:
2θ/deg, I/Imax
35.92, 100
33.77, 95
48.61, 66
39.46, 61
30.19, 59
32.48, 39
46.97, 38
44.26, 31
50.20, 29
37.21, 29

Crystal structure
```
data_EuNi5As3
_cell_length_a 3.746
_cell_length_b 12.216
_cell_length_c 11.857
_cell_angle_alpha 90.00
_cell_angle_beta 90.00
_cell_angle_gamma 90.00
_symmetry_space_group_name_H-M 'C m c m'
_symmetry_Int_Tables_number 63
_symmetry_space_group_name_Hall '-C 2c 2'
loop_
_atom_site_label
_atom_site_type_symbol
_atom_site_fract_x
_atom_site_fract_y
_atom_site_fract_z
_atom_site_occupancy
Eu1 Eu 0.000 0.163 0.250 1
Ni1 Ni 0.000 0.000 0.000 1
Ni2 Ni 0.000 0.194 0.566 1
Ni3 Ni 0.000 0.450 0.144 1
As1 As 0.000 0.115 0.750 1
As2 As 0.000 0.380 0.544 1
```

=====

# 2
This entry pairs a crystal structure of Ni2Sn3Se3 with its calculated XRD peak list. Radiation: Cu Kα X-rays. Structure: a GGA-PBE-relaxed structure.
No peak broadening, texture or thermal motion is included.

The 10 most intense peaks (10 to 90 degrees two-theta), most intense first:
2θ/deg, I/Imax
31.73, 100
31.58, 97
37.53, 36
45.24, 30
45.53, 27
60.20, 25
51.99, 24
49.93, 20
37.68, 17
37.89, 17

Crystal structure
```
data_Ni2Sn3Se3
_cell_length_a 12.6876
_cell_length_b 12.6876
_cell_length_c 15.3640
_cell_angle_alpha 90.00
_cell_angle_beta 90.00
_cell_angle_gamma 120.00
_symmetry_space_group_name_H-M 'R -3'
_symmetry_Int_Tables_number 148
_symmetry_space_group_name_Hall '-R 3'
loop_
_atom_site_label
_atom_site_type_symbol
_atom_site_fract_x
_atom_site_fract_y
_atom_site_fract_z
_atom_site_occupancy
Ni1 Ni 0.0000 0.0000 0.2424 1
Ni2 Ni 0.0006 0.4971 0.7590 1
Sn1 Sn 0.0069 0.8365 0.3382 1
Sn2 Sn 0.0590 0.2728 0.9411 1
Se1 Se 0.0125 0.8365 0.8321 1
Se2 Se 0.0548 0.4478 0.1024 1
```

=====

# 3
This entry pairs a crystal structure of HoTmZn6 with its calculated XRD peak list. Radiation: Cu Kα X-rays. Structure: a GGA-PBE-relaxed structure.
No peak broadening, texture or thermal motion is included.

The 10 most intense peaks (10 to 90 degrees two-theta), most intense first:
2θ/deg, I/Imax
38.54, 100
41.12, 27
40.86, 23
35.12, 22
25.93, 20
73.20, 14
36.07, 12
55.15, 12
32.45, 11
26.77, 11

Crystal structure
```
data_HoTmZn6
_cell_length_a 4.391
_cell_length_b 6.555
_cell_length_c 10.222
_cell_angle_alpha 90.00
_cell_angle_beta 90.00
_cell_angle_gamma 90.00
_symmetry_space_group_name_H-M 'A m m 2'
_symmetry_Int_Tables_number 38
loop_
_symmetry_equiv_pos_as_xyz
'x,y,z'
'-x,-y,z'
'-x,y,z'
'x,-y,z'
'x,y+1/2,z+1/2'
'-x,-y+1/2,z+1/2'
'-x,y+1/2,z+1/2'
'x,-y+1/2,z+1/2'
loop_
_atom_site_label
_atom_site_type_symbol
_atom_site_fract_x
_atom_site_fract_y
_atom_site_fract_z
_atom_site_occupancy
Ho1 Ho 0.000 0.000 0.000 1
Tm1 Tm 0.500 0.000 0.714 1
Zn1 Zn 0.000 0.000 0.521 1
Zn2 Zn 0.000 0.206 0.269 1
Zn3 Zn 0.500 0.000 0.195 1
Zn4 Zn 0.500 0.205 0.444 1
```

=====

Repeat the second record exactly.
This entry pairs a crystal structure of Ni2Sn3Se3 with its calculated XRD peak list. Radiation: Cu Kα X-rays. Structure: a GGA-PBE-relaxed structure.
No peak broadening, texture or thermal motion is included.

The 10 most intense peaks (10 to 90 degrees two-theta), most intense first:
2θ/deg, I/Imax
31.73, 100
31.58, 97
37.53, 36
45.24, 30
45.53, 27
60.20, 25
51.99, 24
49.93, 20
37.68, 17
37.89, 17

Crystal structure
```
data_Ni2Sn3Se3
_cell_length_a 12.6876
_cell_length_b 12.6876
_cell_length_c 15.3640
_cell_angle_alpha 90.00
_cell_angle_beta 90.00
_cell_angle_gamma 120.00
_symmetry_space_group_name_H-M 'R -3'
_symmetry_Int_Tables_number 148
_symmetry_space_group_name_Hall '-R 3'
loop_
_atom_site_label
_atom_site_type_symbol
_atom_site_fract_x
_atom_site_fract_y
_atom_site_fract_z
_atom_site_occupancy
Ni1 Ni 0.0000 0.0000 0.2424 1
Ni2 Ni 0.0006 0.4971 0.7590 1
Sn1 Sn 0.0069 0.8365 0.3382 1
Sn2 Sn 0.0590 0.2728 0.9411 1
Se1 Se 0.0125 0.8365 0.8321 1
Se2 Se 0.0548 0.4478 0.1024 1
```